(1)
Computed XRD peak list
Compound: PaNi2
Radiation: Cu Kα
Structure: a DFT-relaxed cell (GGA-PBE, Alexandria)
No peak broadening, texture or thermal motion is included.

Largest 10 diffraction maxima, sorted by position, 2θ from 10° to 90°:
2θ (°), I/Imax
21.6, 309
35.6, 795
42.1, 1000
44.0, 96
56.3, 83
64.0, 302
68.4, 314
75.5, 219
79.6, 67
86.3, 139

Atomic structure:
Cell lengths 5.0389, 5.0389, 5.0389 Å; angles 60.00, 60.00, 60.00 degrees
Element x y z (fractional)
Pa 0.1250 0.1250 0.1250
Pa 0.8750 0.8750 0.8750
Ni 0.0000 0.5000 0.5000
Ni 0.5000 0.0000 0.5000
Ni 0.5000 0.5000 0.0000
Ni 0.5000 0.5000 0.5000

---

(2)
Computed XRD peak list
Compound: Te2PtI
Radiation: Cu Kα
Structure: a DFT-relaxed cell (GGA-PBE, Alexandria)
No peak broadening, texture or thermal motion is included.

Largest 10 diffraction maxima, sorted by position, 2θ from 10° to 90°:
2θ (°), I/Imax
15.8, 390
18.0, 226
19.7, 146
28.3, 1000
31.1, 591
38.9, 175
39.1, 176
41.2, 168
44.3, 228
46.0, 349

Atomic structure:
Cell lengths 4.0913, 5.2203, 5.9283 Å; angles 109.02, 90.27, 90.06 degrees
Element x y z (fractional)
Te 0.0016 0.3445 0.1567
Te 0.9984 0.6555 0.8433
Pt 0.5000 0.0000 0.0000
I 0.5000 0.0000 0.5000

---

(3)
Computed XRD peak list
Compound: Li2LaCe2Pb2
Radiation: Cu Kα
Structure: a DFT-relaxed cell (GGA-PBE, Alexandria)
No peak broadening, texture or thermal motion is included.

Largest 10 diffraction maxima, sorted by position, 2θ from 10° to 90°:
2θ (°), I/Imax
22.0, 403
22.7, 568
25.1, 309
30.9, 1000
33.3, 725
38.2, 965
49.9, 265
62.6, 266
64.6, 262
66.0, 301

Atomic structure:
Cell lengths 9.9357, 9.9357, 9.9357 Å; angles 27.43, 27.43, 27.43 degrees
Element x y z (fractional)
Li 0.0816 0.0816 0.0816
Li 0.9184 0.9184 0.9184
La 0.5000 0.5000 0.5000
Ce 0.3545 0.3545 0.3545
Ce 0.6455 0.6455 0.6455
Pb 0.2372 0.2372 0.2372
Pb 0.7628 0.7628 0.7628